Theoretical powder diffractogram of Li2VClO3 for λ = 1.5418 Å (Cu Kα), from the PBE+U geometry in Alexandria.
Intensities are scaled so that the largest is 100.

Atomic structure:
abc: 6.726 6.726 6.726
angles: 53.36 53.36 53.36
Positions (direct):
Li1 0.000 0.000 0.000
Li2 0.000 0.000 0.500
Li3 0.000 0.500 0.000
Li4 0.500 0.000 0.000
V1 0.402 0.402 0.402
V2 0.598 0.598 0.598
Cl1 0.271 0.271 0.271
Cl2 0.729 0.729 0.729
O1 0.255 0.729 0.729
O2 0.271 0.271 0.745
O3 0.271 0.745 0.271
O4 0.729 0.255 0.729
O5 0.729 0.729 0.255
O6 0.745 0.271 0.271

Principal peaks in the range 15° ≤ 2θ ≤ 90°, in order of falling intensity:
| Position (°2θ) | d_spacing | I_rel |
| --- | --- | --- |
| 17.7 | 5.006 | 100 |
| 29.6 | 3.020 | 63 |
| 31.1 | 2.877 | 51 |
| 43.4 | 2.083 | 31 |
| 61.4 | 1.510 | 25 |
| 33.5 | 2.674 | 24 |
| 35.9 | 2.503 | 24 |
| 40.5 | 2.230 | 21 |
| 56.9 | 1.618 | 18 |
| 34.7 | 2.586 | 18 |